For Li3TiTl, the PBE geometry in Alexandria gives the simulated X-ray diffraction stick pattern in this record (CuKα).
Intensities are scaled so that the largest is 100.

Structural model:
```
data_Li3TiTl
_symmetry_space_group_name_H-M 'P m -3 m'
_symmetry_Int_Tables_number 221
_symmetry_space_group_name_Hall '-P 4 2 3'
_cell_length_a 4.814
_cell_length_b 4.814
_cell_length_c 4.814
_cell_angle_alpha 90.00
_cell_angle_beta 90.00
_cell_angle_gamma 90.00
loop_
_atom_site_label
_atom_site_type_symbol
_atom_site_fract_x
_atom_site_fract_y
_atom_site_fract_z
Li1 Li 0.000 0.000 0.500
Ti1 Ti 0.500 0.500 0.500
Tl1 Tl 0.000 0.000 0.000
```

Most intense lines, 2θ from 10° to 90°, sorted by position:
| 2theta | d/Å | I_rel | h k l |
| --- | --- | --- | --- |
| 18.4 | 4.814 | 46 | 1 0 0 |
| 26.2 | 3.404 | 100 | 1 1 0 |
| 32.2 | 2.779 | 12 | 1 1 1 |
| 37.4 | 2.407 | 23 | 2 0 0 |
| 42.0 | 2.153 | 25 | 2 1 0 |
| 46.2 | 1.965 | 43 | 2 1 1 |
| 53.9 | 1.702 | 16 | 2 2 0 |
| 57.4 | 1.605 | 13 | 3 0 0 |
| 60.9 | 1.522 | 19 | 3 1 0 |
| 73.6 | 1.287 | 21 | 3 2 1 |